For Li9Mn2Co5O16, a DFT-relaxed cell (PBE+U, the Materials Project) gives the calculated powder X-ray diffraction pattern in this record (CuKα).
Kinematic intensities with the Lorentz-polarization factor, no thermal factor.

Peak list (6 most intense, 2θ from 5° to 70°, low angle first)
two_theta  d [Å]  Rel. int.
18.13  4.892  100
35.97  2.496  38
43.33  2.088  55
43.55  2.078  26
62.61  1.484  14
63.61  1.463  21

Cell and atoms:
Cell: 9.9395 2.9258 10.1320 Å, 90.00 100.15 90.00°
Space group P2/m (No. 10)
Symmetry-distinct sites (fractional):
Li1 0.0000 0.0000 0.0000 x1
Li2 0.2255 0.5000 0.1183 x2
Li3 0.2429 0.0000 0.8748 x2
Li4 0.2463 0.5000 0.6231 x2
Li5 0.2466 0.0000 0.3689 x2
Mn1 0.0000 0.0000 0.5000 x1
Mn2 0.5000 0.5000 0.0000 x1
Co1 0.0067 0.5000 0.7693 x2
Co2 0.4984 0.0000 0.2562 x2
Co3 0.5000 0.5000 0.5000 x1
O1 0.1076 0.5000 0.4433 x2
O2 0.1101 0.0000 0.6776 x2
O3 0.1160 0.0000 0.1947 x2
O4 0.1245 0.5000 0.9265 x2
O5 0.3812 0.0000 0.5630 x2
O6 0.3843 0.5000 0.3123 x2
O7 0.3905 0.0000 0.0542 x2
O8 0.3940 0.5000 0.8194 x2